This entry pairs a crystal structure of Pr6PaSe12 with its computed powder diffraction line list. Radiation: Cu Kα (weighted mean of Kα1 and Kα2). Structure: a structure optimized by DFT (PBE).

Structure:
```
data_Pr6PaSe12
_cell_length_a 12.9140
_cell_length_b 12.9140
_cell_length_c 12.2051
_cell_angle_alpha 90.00
_cell_angle_beta 90.00
_cell_angle_gamma 120.00
_space_group_name_H-M_alt 'R -3'
_space_group_IT_number 148
_space_group_name_Hall '-R 3'
loop_
_atom_site_label
_atom_site_type_symbol
_atom_site_fract_x
_atom_site_fract_y
_atom_site_fract_z
_atom_site_occupancy
Pr1 Pr 0.0534 0.2750 0.1401 1
Pa1 Pa 0.0000 0.0000 0.5000 1
Se1 Se 0.0371 0.2187 0.8967 1
Se2 Se 0.0526 0.2023 0.3806 1
```

Most intense lines, 10° ≤ 2θ ≤ 90°, in order of rising 2θ:
hkl  2θ (°)  d/Å  I_rel
0 1 2  16.55  5.357  169
0 0 3  21.85  4.068  237
2 1 1  22.26  3.994  1000
3 1 2  32.38  2.765  368
3 0 3  32.58  2.749  148
2 1 4  36.31  2.474  640
1 4 0  36.83  2.441  648
5 -1 3  43.23  2.093  179
2 4 1  43.45  2.083  182
6 -5 2  47.66  1.908  130